Computed XRD peak list of Sc2GaB2Rh5 for Cu Kα (λ = 1.5418 Å), from a GGA-PBE-relaxed structure.

Most intense lines, 2θ from 15° to 90°, by angle:
two_theta  d/Å  intensity  index
29.0  3.082  40  0 0 1
34.6  2.593  31  3 2 0
36.2  2.481  45  2 1 1
39.8  2.267  66  4 1 0
40.0  2.254  32  2 2 1
42.4  2.133  100  3 1 1
43.3  2.090  46  4 2 0
45.7  1.984  42  3 2 1
49.9  1.826  22  4 1 1
60.0  1.541  20  0 0 2
74.4  1.274  19  4 1 2
78.8  1.215  32  7 1 1

Atomic structure:
```
data_Sc2GaB2Rh5
_cell_length_a 9.3475
_cell_length_b 9.3475
_cell_length_c 3.0817
_cell_angle_alpha 90.00
_cell_angle_beta 90.00
_cell_angle_gamma 90.00
_symmetry_space_group_name_H-M 'P 1'
_symmetry_Int_Tables_number 1
_symmetry_space_group_name_Hall 'P 1'
loop_
_atom_site_label
_atom_site_type_symbol
_atom_site_fract_x
_atom_site_fract_y
_atom_site_fract_z
_atom_site_occupancy
Sc1 Sc 0.1749 0.3251 0.0000 1
Sc2 Sc 0.3251 0.8251 0.0000 1
Sc3 Sc 0.6749 0.1749 0.0000 1
Sc4 Sc 0.8251 0.6749 0.0000 1
Ga1 Ga 0.0000 0.0000 0.0000 1
Ga2 Ga 0.5000 0.5000 0.0000 1
B1 B 0.1247 0.6247 0.0000 1
B2 B 0.3753 0.1247 0.0000 1
B3 B 0.6247 0.8753 0.0000 1
B4 B 0.8753 0.3753 0.0000 1
Rh1 Rh 0.0000 0.5000 0.5000 1
Rh2 Rh 0.0710 0.7834 0.5000 1
Rh3 Rh 0.2166 0.0710 0.5000 1
Rh4 Rh 0.2834 0.5710 0.5000 1
Rh5 Rh 0.4290 0.2834 0.5000 1
Rh6 Rh 0.5000 0.0000 0.5000 1
Rh7 Rh 0.5710 0.7166 0.5000 1
Rh8 Rh 0.7166 0.4290 0.5000 1
Rh9 Rh 0.7834 0.9290 0.5000 1
Rh10 Rh 0.9290 0.2166 0.5000 1
```